# 1
Starting from a DFT-relaxed cell (GGA-PBE, Alexandria), the X-ray diffraction stick pattern of Dy4GaSnN was computed for Cu Kα X-rays.
Peak positions follow from Bragg's law for the DFT cell and can differ from measured ones.

Top 6 peaks for 2θ from 10° to 80°, low angle first:
2θ (°), d_spacing, I_rel
29.4, 3.043, 92
34.1, 2.626, 36
35.5, 2.529, 100
38.6, 2.332, 65
52.5, 1.744, 42
67.8, 1.381, 31

Cell and atoms:
```
data_Dy4GaSnN
_chemical_formula_sum 'Dy16 Ga4 Sn4 N4'
_space_group_name_H-M_alt 'C m c m'
_space_group_IT_number 63
_space_group_name_Hall '-C 2c 2'
_cell_length_a 6.595
_cell_length_b 15.754
_cell_length_c 6.600
_cell_angle_alpha 90.00
_cell_angle_beta 90.00
_cell_angle_gamma 90.00
loop_
_atom_site_label
_atom_site_fract_x
_atom_site_fract_y
_atom_site_fract_z
Dy1 0.000 0.081 0.250
Dy2 0.000 0.410 0.250
Dy3 0.250 0.250 0.000
Ga1 0.000 0.115 0.750
Sn1 0.000 0.392 0.750
N1 0.000 0.252 0.250
```

=====

# 2
Starting from a DFT-relaxed cell (GGA-PBE, Alexandria), the X-ray diffraction stick pattern of NaGe4P3O12 was computed for Cu Kα X-rays.
Peak positions follow from Bragg's law for the DFT cell and can differ from measured ones.

Top 6 peaks for 2θ from 10° to 80°, low angle first:
2θ (°), d_spacing, I_rel
22.1, 4.016, 33
22.4, 3.963, 100
28.4, 3.145, 22
28.9, 3.092, 19
37.1, 2.423, 17
51.1, 1.786, 17

Cell and atoms:
```
data_NaGe4P3O12
_chemical_formula_sum 'Na6 Ge24 P18 O72'
_space_group_name_H-M_alt 'R 3 c'
_space_group_IT_number 161
_space_group_name_Hall 'R 3 -2"c'
_cell_length_a 9.6907
_cell_length_b 9.6907
_cell_length_c 24.0974
_cell_angle_alpha 90.00
_cell_angle_beta 90.00
_cell_angle_gamma 120.00
loop_
_atom_site_label
_atom_site_fract_x
_atom_site_fract_y
_atom_site_fract_z
Na1 0.0000 0.0000 0.0000
Ge1 0.0000 0.0000 0.3589
Ge2 0.0542 0.4680 0.3880
P1 0.1219 0.3344 0.5935
O1 0.0024 0.1645 0.9064
O2 0.0698 0.2505 0.0527
O3 0.0983 0.3704 0.2667
O4 0.1499 0.3504 0.1515
```

=====

Number 2 is which compound? NaGe4P3O12